Record 1
Diffraction record for Np2HgO7. The powder X-ray diffraction pattern is simulated, not measured: it uses DFT lattice parameters and positions (PBE) and Cu Ka.
No peak broadening, texture or thermal motion is included.

Crystal structure
a b c (Å): 6.6822 4.1610 7.1291
angles (deg): 90.00 109.52 90.00
Space group P2/m (No. 10)
One atom of each set of equivalent atoms:
1 Np 0.1083 0.0000 0.3100 [2 per cell]
2 Hg 0.5000 0.5000 0.0000 [1 per cell]
3 O 0.0000 0.0000 0.0000 [1 per cell]
4 O 0.1045 0.5000 0.3068 [2 per cell]
5 O 0.1614 0.0000 0.6573 [2 per cell]
6 O 0.3769 0.0000 0.3060 [2 per cell]

Main lines, most intense first (2θ = 10–90°):
2θ/deg	intensity	h k l
25.66	100	1 1 0
22.34	90	1 0 1
25.54	74	1 0 -2
26.96	51	2 0 -1
25.17	49	0 1 1
34.31	47	0 1 2

---

Record 2
Diffraction record for Np2Hg2O7. The powder X-ray diffraction pattern is simulated, not measured: it uses DFT lattice parameters and positions (PBE) and Cu Ka.
No peak broadening, texture or thermal motion is included.

Crystal structure
a b c (Å): 11.2056 11.2056 11.2056
angles (deg): 90.00 90.00 90.00
Space group Fd-3m (No. 227, origin choice 2)
One atom of each set of equivalent atoms:
1 Np 0.0000 0.0000 0.0000 [16 per cell]
2 Hg 0.0000 0.0000 0.5000 [16 per cell]
3 O 0.0634 0.3750 0.3750 [48 per cell]
4 O 0.1250 0.1250 0.6250 [8 per cell]

Main lines, most intense first (2θ = 10–90°):
2θ/deg	intensity	h k l
27.58	100	2 2 2
54.30	48	6 2 2
45.81	43	4 4 0
31.95	42	4 0 0
73.71	20	6 6 2
75.95	18	8 4 0